Diffraction record for GdDy2Ga3NiGe2. The X-ray diffraction stick pattern is theoretical, not measured: it uses a cell relaxed with PBE and a wavelength of 1.5418 Å.
Neutral-atom scattering factors, no anomalous dispersion.

Principal peaks in the range 2θ from 10° to 90°, most intense first:
| two_theta | I_rel |
| --- | --- |
| 33.4 | 100 |
| 36.7 | 61 |
| 39.3 | 36 |
| 43.5 | 24 |
| 59.2 | 22 |
| 60.0 | 20 |
| 44.8 | 20 |
| 25.4 | 17 |
| 71.4 | 17 |
| 75.3 | 14 |

Crystal structure
Lattice parameters (Å, degrees): 4.161 7.009 7.009 120.02 90.00 90.00
Sites, in units of the cell vectors:
Gd  0.000  0.000  0.000
Dy  0.000  0.201  0.601
Dy  0.000  0.601  0.201
Ga  0.500  0.372  0.372
Ga  0.500  0.600  0.829
Ga  0.500  0.829  0.600
Ni  0.000  0.600  0.600
Ge  0.500  0.268  0.934
Ge  0.500  0.934  0.268